# Er4V6O19
Simulated X-ray diffraction stick pattern, Cu Kα. Input: a GGA+U-relaxed structure.

Largest 10 diffraction maxima, sorted by position, 2θ from 10° to 80°:
hkl 1 1 -2, 2θ 24.54, intensity 100; hkl 3 1 -2, 2θ 24.69, intensity 52; hkl 1 3 -1, 2θ 31.80, intensity 31; hkl 3 1 0, 2θ 31.94, intensity 36; hkl 0 2 2, 2θ 34.95, intensity 24; hkl 4 2 -2, 2θ 35.16, intensity 21; hkl 3 3 -3, 2θ 43.23, intensity 44; hkl 4 4 -1, 2θ 52.55, intensity 18; hkl 1 5 1, 2θ 56.66, intensity 17; hkl 3 1 -5, 2θ 56.82, intensity 14

Structure:
Cell lengths 12.460, 8.908, 8.838 Å; angles 90.00, 134.69, 90.00 degrees
Space group C2 (No. 5)
Inequivalent atoms, fractional coordinates:
Er 0.144 0.000 0.497 x4
Er 0.150 0.696 0.796 x4
V 0.000 0.176 0.000 x2
V 0.000 0.499 0.000 x2
V 0.009 0.348 0.670 x4
V 0.163 0.835 0.177 x4
O 0.000 0.192 0.500 x2
O 0.000 0.503 0.500 x2
O 0.000 0.846 0.500 x2
O 0.001 0.841 0.855 x4
O 0.033 0.528 0.824 x4
O 0.036 0.173 0.249 x4
O 0.151 0.340 0.148 x4
O 0.166 0.059 0.129 x4
O 0.183 0.631 0.216 x4
O 0.215 0.317 0.890 x4
O 0.216 0.385 0.543 x4